Diffraction record for Pm5Nd3Ho. The powder X-ray diffraction pattern is calculated, not measured: it uses a structure optimized by DFT (GGA-PBE) and Cu Kα (weighted mean of Kα1 and Kα2).
Intensities are scaled so that the largest is 100.

Most intense lines, 2θ = 10–80°, most intense first:
(hkl)  2θ (°)  intensity
0 4 0  30.51  100
5 1 -3  31.90  98
1 1 -3  31.76  73
4 2 0  33.84  71
2 2 1  28.65  68
0 2 0  15.12  61

Structural model:
abc: 15.455 11.720 9.950
angles: 90.00 129.78 90.00
Space group C2/m (No. 12)
Symmetry-distinct sites (fractional):
1 Pm 0.000 0.247 0.000 [4 per cell]
2 Pm 0.152 0.248 0.739 [8 per cell]
3 Pm 0.226 0.000 0.229 [4 per cell]
4 Pm 0.226 0.500 0.048 [4 per cell]
5 Nd 0.000 0.000 0.500 [2 per cell]
6 Nd 0.000 0.500 0.000 [2 per cell]
7 Nd 0.005 0.000 0.817 [4 per cell]
8 Nd 0.015 0.500 0.350 [4 per cell]
9 Ho 0.247 0.500 0.405 [4 per cell]



Diffraction record for Sr3Cu2. The powder X-ray diffraction pattern is calculated, not measured: it uses a structure optimized by DFT (GGA-PBE) and Cu Kα (weighted mean of Kα1 and Kα2).
Intensities are scaled so that the largest is 100.

Most intense lines, 2θ = 10–80°, most intense first:
(hkl)  2θ (°)  intensity
1 1 3  26.52  100
1 1 6  35.15  49
3 0 0  40.41  46
2 0 2  28.05  26
1 1 9  46.45  25
0 1 2  15.83  17

Structural model:
abc: 7.7321 7.7321 20.4037
angles: 90.00 90.00 120.00
Space group R-3c (No. 167, hexagonal axes)
Symmetry-distinct sites (fractional):
1 Sr 0.0000 0.3671 0.2500 [18 per cell]
2 Cu 0.0000 0.0000 0.1885 [12 per cell]